[1]
Structure and simulated PXRD pattern of Ca3AgPd3 (a DFT-relaxed cell (GGA-PBE, Alexandria); a wavelength of 1.5418 Å).
Neutral-atom scattering factors, no anomalous dispersion.

Main lines, by angle (10 to 90 degrees two-theta):
2θ/deg  I_rel
18.03  26
21.05  60
23.19  40
33.02  43
33.78  96
38.22  100
41.98  43
42.86  33
44.46  30
61.55  22

a b c (Å): 5.666 5.666 14.231
angles (deg): 90.00 90.00 135.35
Fractional coordinates of all 14 atoms:
Ca (0.028, 0.972, 0.750)
Ca (0.306, 0.694, 0.601)
Ca (0.306, 0.694, 0.899)
Ca (0.694, 0.306, 0.101)
Ca (0.694, 0.306, 0.399)
Ca (0.972, 0.028, 0.250)
Ag (0.000, 0.000, 0.000)
Ag (0.000, 0.000, 0.500)
Pd (0.255, 0.745, 0.250)
Pd (0.404, 0.596, 0.096)
Pd (0.404, 0.596, 0.404)
Pd (0.596, 0.404, 0.596)
Pd (0.596, 0.404, 0.904)
Pd (0.745, 0.255, 0.750)



[2]
Structure and simulated PXRD pattern of CaAg7Pd5 (a DFT-relaxed cell (GGA-PBE, Alexandria); a wavelength of 1.5418 Å).
Neutral-atom scattering factors, no anomalous dispersion.

Main lines, by angle (10 to 90 degrees two-theta):
2θ/deg  I_rel
18.82  11
18.97  17
33.09  25
38.18  45
38.45  100
42.97  70
43.22  69
62.33  13
69.42  19
69.58  14

a b c (Å): 7.156 7.156 7.156
angles (deg): 135.16 98.40 98.33
Fractional coordinates of all 13 atoms:
Ca (0.000, 0.000, 0.000)
Ag (0.195, 0.484, 0.712)
Ag (0.330, 0.982, 0.348)
Ag (0.337, 0.337, 0.000)
Ag (0.633, 0.982, 0.652)
Ag (0.644, 0.644, 0.000)
Ag (0.761, 0.261, 0.500)
Ag (0.772, 0.484, 0.288)
Pd (0.207, 0.707, 0.500)
Pd (0.480, 0.481, 0.496)
Pd (0.480, 0.983, 0.998)
Pd (0.985, 0.481, 0.002)
Pd (0.985, 0.983, 0.504)



[3]
Structure and simulated PXRD pattern of Ca2Ag3Pd2 (a DFT-relaxed cell (GGA-PBE, Alexandria); a wavelength of 1.5418 Å).
Neutral-atom scattering factors, no anomalous dispersion.

Main lines, by angle (10 to 90 degrees two-theta):
2θ/deg  I_rel
12.35  29
20.52  48
23.27  25
33.55  83
34.58  49
35.03  34
37.88  92
41.74  39
43.78  100
62.07  23

a b c (Å): 5.434 5.434 7.212
angles (deg): 95.85 95.85 44.75
Fractional coordinates of all 7 atoms:
Ca (0.122, 0.122, 0.333)
Ca (0.878, 0.878, 0.667)
Ag (0.189, 0.189, 0.889)
Ag (0.500, 0.500, 0.000)
Ag (0.811, 0.811, 0.111)
Pd (0.410, 0.410, 0.349)
Pd (0.590, 0.590, 0.651)



[4]
Structure and simulated PXRD pattern of CaAg2Pd6 (a DFT-relaxed cell (GGA-PBE, Alexandria); a wavelength of 1.5418 Å).
Neutral-atom scattering factors, no anomalous dispersion.

Main lines, by angle (10 to 90 degrees two-theta):
2θ/deg  I_rel
18.92  100
35.35  37
37.02  47
38.37  67
40.40  59
41.55  54
41.89  40
46.02  62
54.38  31
69.39  28

a b c (Å): 5.417 5.417 7.284
angles (deg): 90.00 90.00 120.00
Fractional coordinates of all 9 atoms:
Ca (0.000, 0.000, 0.000)
Ag (0.333, 0.667, 0.500)
Ag (0.667, 0.333, 0.500)
Pd (0.000, 0.500, 0.184)
Pd (0.000, 0.500, 0.816)
Pd (0.500, 0.000, 0.184)
Pd (0.500, 0.000, 0.816)
Pd (0.500, 0.500, 0.184)
Pd (0.500, 0.500, 0.816)



[5]
Structure and simulated PXRD pattern of CaPrAgPd (a DFT-relaxed cell (GGA-PBE, Alexandria); a wavelength of 1.5418 Å).
Neutral-atom scattering factors, no anomalous dispersion.

Main lines, by angle (10 to 90 degrees two-theta):
2θ/deg  I_rel
20.98  14
34.60  100
40.82  8
49.74  17
54.55  3
62.00  35
66.23  3
72.99  11
76.92  3
83.35  15

a b c (Å): 5.185 5.185 5.185
angles (deg): 60.00 60.00 60.00
Fractional coordinates of all 4 atoms:
Ca (0.000, 0.000, 0.000)
Pr (0.500, 0.500, 0.500)
Ag (0.750, 0.750, 0.750)
Pd (0.250, 0.250, 0.250)



[6]
Structure and simulated PXRD pattern of Ca2AgSb3Pd4 (a DFT-relaxed cell (GGA-PBE, Alexandria); a wavelength of 1.5418 Å).
Neutral-atom scattering factors, no anomalous dispersion.

Main lines, by angle (10 to 90 degrees two-theta):
2θ/deg  I_rel
16.20  40
21.29  55
31.53  40
32.47  100
39.93  82
43.57  86
46.10  25
57.74  27
67.83  22
75.04  34

a b c (Å): 4.516 4.516 10.940
angles (deg): 90.00 90.00 90.00
Fractional coordinates of all 10 atoms:
Ca (0.000, 0.500, 0.249)
Ca (0.500, 0.000, 0.751)
Ag (0.000, 0.000, 0.500)
Sb (0.000, 0.500, 0.869)
Sb (0.500, 0.000, 0.131)
Sb (0.500, 0.500, 0.500)
Pd (0.000, 0.000, 0.000)
Pd (0.000, 0.500, 0.636)
Pd (0.500, 0.000, 0.364)
Pd (0.500, 0.500, 0.000)



[7]
Structure and simulated PXRD pattern of CaPmAg4 (a DFT-relaxed cell (GGA-PBE, Alexandria); a wavelength of 1.5418 Å).
Neutral-atom scattering factors, no anomalous dispersion.

Main lines, by angle (10 to 90 degrees two-theta):
2θ/deg  I_rel
19.03  7
33.50  67
37.02  100
48.11  23
62.21  41
68.90  14
70.40  7
78.83  10
80.25  10
82.31  9

a b c (Å): 5.453 5.453 5.347
angles (deg): 90.00 90.00 121.22
Fractional coordinates of all 6 atoms:
Ca (0.000, 0.000, 0.000)
Pm (0.500, 0.500, 0.500)
Ag (0.172, 0.828, 0.500)
Ag (0.325, 0.675, 0.000)
Ag (0.675, 0.325, 0.000)
Ag (0.828, 0.172, 0.500)



[8]
Structure and simulated PXRD pattern of CaPmAg4 (a DFT-relaxed cell (GGA-PBE, Alexandria); a wavelength of 1.5418 Å).
Neutral-atom scattering factors, no anomalous dispersion.

Main lines, by angle (10 to 90 degrees two-theta):
2θ/deg  I_rel
16.43  32
31.31  49
32.93  61
33.11  60
33.22  51
37.43  61
37.96  100
39.23  32
50.78  18
67.88  17

a b c (Å): 5.938 5.938 4.805
angles (deg): 113.63 113.63 87.01
Fractional coordinates of all 6 atoms:
Ca (0.000, 0.000, 0.000)
Pm (0.417, 0.583, 0.500)
Ag (0.001, 0.415, 0.707)
Ag (0.419, 0.174, 0.797)
Ag (0.585, 0.999, 0.293)
Ag (0.826, 0.581, 0.203)



[9]
Structure and simulated PXRD pattern of CaPm2Ag3 (a DFT-relaxed cell (GGA-PBE, Alexandria); a wavelength of 1.5418 Å).
Neutral-atom scattering factors, no anomalous dispersion.

Main lines, by angle (10 to 90 degrees two-theta):
2θ/deg  I_rel
20.69  7
34.10  100
40.22  4
49.00  18
53.73  2
61.04  36
65.18  1
71.81  11
75.66  1
81.94  15

a b c (Å): 5.257 5.257 12.887
angles (deg): 90.00 90.00 120.00
Fractional coordinates of all 12 atoms:
Ca (0.333, 0.667, 0.166)
Ca (0.667, 0.333, 0.834)
Pm (0.000, 0.000, 0.000)
Pm (0.000, 0.000, 0.500)
Pm (0.333, 0.667, 0.669)
Pm (0.667, 0.333, 0.331)
Ag (0.000, 0.000, 0.251)
Ag (0.000, 0.000, 0.749)
Ag (0.333, 0.667, 0.421)
Ag (0.333, 0.667, 0.918)
Ag (0.667, 0.333, 0.082)
Ag (0.667, 0.333, 0.579)



[10]
Structure and simulated PXRD pattern of Ca3Pm2AgTe6 (a DFT-relaxed cell (GGA-PBE, Alexandria); a wavelength of 1.5418 Å).
Neutral-atom scattering factors, no anomalous dispersion.

Main lines, by angle (10 to 90 degrees two-theta):
2θ/deg  I_rel
12.10  12
23.27  7
28.16  100
40.25  75
49.85  27
58.23  12
65.85  6
65.93  28
73.15  21
86.95  7

a b c (Å): 7.763 7.763 7.760
angles (deg): 99.65 99.65 119.97
Fractional coordinates of all 12 atoms:
Ca (0.000, 0.000, 0.000)
Ca (0.332, 0.668, 0.000)
Ca (0.668, 0.332, 0.000)
Pm (0.166, 0.834, 0.500)
Pm (0.834, 0.166, 0.500)
Ag (0.500, 0.500, 0.500)
Te (0.089, 0.418, 0.254)
Te (0.253, 0.253, 0.748)
Te (0.418, 0.089, 0.254)
Te (0.582, 0.911, 0.746)
Te (0.747, 0.747, 0.252)
Te (0.911, 0.582, 0.746)



[11]
Structure and simulated PXRD pattern of Ca2PrAg6 (a DFT-relaxed cell (GGA-PBE, Alexandria); a wavelength of 1.5418 Å).
Neutral-atom scattering factors, no anomalous dispersion.

Main lines, by angle (10 to 90 degrees two-theta):
2θ/deg  I_rel
25.09  32
29.42  75
33.54  80
36.48  42
36.94  51
38.10  100
43.42  23
45.60  34
49.78  24
64.36  40

a b c (Å): 8.548 8.548 8.548
angles (deg): 155.26 123.40 62.70
Fractional coordinates of all 9 atoms:
Ca (0.141, 0.141, 0.000)
Ca (0.859, 0.859, 0.000)
Pr (0.500, 0.000, 0.500)
Ag (0.144, 0.324, 0.821)
Ag (0.177, 0.500, 0.677)
Ag (0.497, 0.676, 0.821)
Ag (0.503, 0.324, 0.179)
Ag (0.823, 0.500, 0.323)
Ag (0.856, 0.676, 0.179)



[12]
Structure and simulated PXRD pattern of Ca3Pr3AgTe8 (a DFT-relaxed cell (GGA-PBE, Alexandria); a wavelength of 1.5418 Å).
Neutral-atom scattering factors, no anomalous dispersion.

Main lines, by angle (10 to 90 degrees two-theta):
2θ/deg  I_rel
12.00  15
23.16  10
24.18  7
27.99  100
40.00  76
49.56  20
57.85  13
65.40  17
65.53  17
72.70  19

a b c (Å): 9.026 9.026 9.026
angles (deg): 59.86 59.86 59.86
Fractional coordinates of all 15 atoms:
Ca (0.000, 0.500, 0.500)
Ca (0.500, 0.000, 0.500)
Ca (0.500, 0.500, 0.000)
Pr (0.000, 0.000, 0.500)
Pr (0.000, 0.500, 0.000)
Pr (0.500, 0.000, 0.000)
Ag (0.500, 0.500, 0.500)
Te (0.251, 0.251, 0.251)
Te (0.252, 0.747, 0.747)
Te (0.253, 0.253, 0.748)
Te (0.253, 0.748, 0.253)
Te (0.747, 0.252, 0.747)
Te (0.747, 0.747, 0.252)
Te (0.748, 0.253, 0.253)
Te (0.749, 0.749, 0.749)



[13]
Structure and simulated PXRD pattern of CaAg4Pt (a DFT-relaxed cell (GGA-PBE, Alexandria); a wavelength of 1.5418 Å).
Neutral-atom scattering factors, no anomalous dispersion.

Main lines, by angle (10 to 90 degrees two-theta):
2θ/deg  I_rel
19.79  16
22.89  12
32.60  26
38.43  100
40.21  40
58.17  10
62.08  31
68.30  25
81.19  11
82.33  14

a b c (Å): 5.493 5.493 5.493
angles (deg): 60.00 60.00 60.00
Fractional coordinates of all 6 atoms:
Ca (0.000, 0.000, 0.000)
Ag (0.375, 0.375, 0.375)
Ag (0.375, 0.375, 0.874)
Ag (0.375, 0.874, 0.375)
Ag (0.874, 0.375, 0.375)
Pt (0.750, 0.750, 0.750)



[14]
Structure and simulated PXRD pattern of Ca6Ag2Pt (a DFT-relaxed cell (GGA-PBE, Alexandria); a wavelength of 1.5418 Å).
Neutral-atom scattering factors, no anomalous dispersion.

Main lines, by angle (10 to 90 degrees two-theta):
2θ/deg  I_rel
17.05  34
17.35  31
17.82  55
30.40  43
32.68  100
33.01  42
36.10  34
36.79  25
41.79  28
44.78  22

a b c (Å): 8.828 8.828 8.828
angles (deg): 111.37 109.25 107.81
Fractional coordinates of all 18 atoms:
Ca (0.053, 0.240, 0.813)
Ca (0.165, 0.452, 0.288)
Ca (0.165, 0.877, 0.712)
Ca (0.332, 0.247, 0.579)
Ca (0.332, 0.753, 0.085)
Ca (0.426, 0.240, 0.187)
Ca (0.574, 0.760, 0.813)
Ca (0.668, 0.247, 0.915)
Ca (0.668, 0.753, 0.421)
Ca (0.835, 0.123, 0.288)
Ca (0.835, 0.548, 0.712)
Ca (0.947, 0.760, 0.187)
Ag (0.152, 0.500, 0.652)
Ag (0.369, 0.869, 0.500)
Ag (0.631, 0.131, 0.500)
Ag (0.848, 0.500, 0.348)
Pt (0.000, 0.000, 0.000)
Pt (0.500, 0.500, 0.000)